[1]
The following is a computed powder XRD pattern of Ce2S3Cl. It was derived from the PBE geometry in Alexandria, using copper Kα.
Kinematic intensities with the Lorentz-polarization factor, no thermal factor.

Structure:
```
data_Ce2S3Cl
_symmetry_space_group_name_H-M 'R -3 c'
_symmetry_Int_Tables_number 167
_symmetry_space_group_name_Hall '-R 3 2"c'
_cell_length_a 7.5380
_cell_length_b 7.5380
_cell_length_c 18.4794
_cell_angle_alpha 90.00
_cell_angle_beta 90.00
_cell_angle_gamma 120.00
loop_
_atom_site_label
_atom_site_fract_x
_atom_site_fract_y
_atom_site_fract_z
Ce1 0.0000 0.0000 0.1448
S1 0.0000 0.2681 0.2500
Cl1 0.0000 0.0000 0.0000
```

Main lines, in order of rising 2θ (10 to 90 degrees two-theta):
d (Å), 2theta, I (rel.), (hkl)
3.770, 23.60, 100, 1 1 0
2.666, 33.62, 22, 0 2 4
2.385, 37.72, 38, 1 1 6
2.176, 41.49, 61, 3 0 0
1.885, 48.29, 14, 2 2 0
1.778, 51.40, 15, 1 0 10
1.608, 57.31, 15, 2 2 6
1.425, 65.52, 23, 4 1 0
1.293, 73.19, 16, 0 1 14
1.164, 82.98, 11, 1 2 14

***

[2]
The following is a computed powder XRD pattern of Ce6SCl8. It was derived from the PBE geometry in Alexandria, using copper Kα.
Kinematic intensities with the Lorentz-polarization factor, no thermal factor.

Structure:
```
data_Ce6SCl8
_symmetry_space_group_name_H-M 'R -3'
_symmetry_Int_Tables_number 148
_symmetry_space_group_name_Hall '-R 3'
_cell_length_a 6.9814
_cell_length_b 6.9814
_cell_length_c 29.4969
_cell_angle_alpha 90.00
_cell_angle_beta 90.00
_cell_angle_gamma 120.00
loop_
_atom_site_label
_atom_site_fract_x
_atom_site_fract_y
_atom_site_fract_z
Ce1 0.0000 0.3286 0.0524
S1 0.0000 0.0000 0.0000
Cl1 0.0000 0.0000 0.3333
Cl2 0.9998 0.3334 0.2238
```

Main lines, in order of rising 2θ (10 to 90 degrees two-theta):
d (Å), 2theta, I (rel.), (hkl)
3.491, 25.52, 19, 1 1 0
3.290, 27.11, 36, 1 1 3
2.846, 31.43, 100, 2 -1 6
2.389, 37.65, 15, 2 -1 9
2.015, 44.98, 30, 3 0 0
2.010, 45.11, 30, 1 1 12
1.718, 53.34, 14, 4 -2 3
1.645, 55.90, 18, 2 2 6
1.274, 74.46, 15, 5 -1 6
1.163, 83.05, 15, 3 3 0